For La5Pb3O, a DFT-relaxed cell (PBE, the Materials Project) gives the computed powder X-ray diffraction pattern in this record (Cu Ka).
Intensities are scaled so that the largest is 100.

Cell and atoms:
abc: 9.633 9.633 9.633
angles: 125.60 125.60 80.54
Atoms (fractional coordinates):
La 0.000 0.000 0.000
La 0.188 0.991 0.500
La 0.292 0.792 0.802
La 0.490 0.292 0.500
La 0.491 0.688 0.500
La 0.500 0.500 0.000
La 0.688 0.188 0.198
La 0.792 0.990 0.500
La 0.990 0.490 0.198
La 0.991 0.491 0.802
Pb 0.134 0.345 0.500
Pb 0.241 0.241 0.000
Pb 0.345 0.845 0.211
Pb 0.634 0.134 0.789
Pb 0.741 0.741 0.000
Pb 0.845 0.634 0.500
O 0.240 0.740 0.500
O 0.740 0.240 0.500

Principal peaks in the range 2θ from 10° to 80°, by intensity:
29.1 deg, I 100; 32.1 deg, I 56; 59.6 deg, I 21; 49.6 deg, I 13; 31.7 deg, I 12; 58.3 deg, I 12; 28.2 deg, I 11; 56.2 deg, I 10; 60.3 deg, I 10; 28.7 deg, I 10